1.
This entry pairs a crystal structure of LiGeH with its theoretical PXRD pattern. Radiation: a wavelength of 1.5418 Å. Structure: a DFT-relaxed cell (PBE, Alexandria).
Kinematic intensities with the Lorentz-polarization factor, no thermal factor.

Top 12 peaks for 2θ from 10° to 80°, most intense first:
d_spacing, 2θ/deg, Rel. int.
4.161, 21.4, 1000
3.036, 29.4, 971
4.964, 17.9, 773
2.213, 40.8, 602
2.791, 32.1, 537
2.909, 30.7, 441
2.131, 42.4, 369
1.961, 46.3, 362
1.792, 51.0, 335
1.552, 59.6, 274
1.986, 45.7, 226
2.274, 39.6, 212

Cell and atoms:
Unit cell a=8.5039 b=3.9715 c=5.0719 alpha=90.00 beta=101.84 gamma=90.00
Fractional coordinates of all 12 atoms:
Li 0.0000 0.0000 0.0000
Li 0.0000 0.5000 0.5000
Li 0.5000 0.0000 0.5000
Li 0.5000 0.5000 0.0000
Ge 0.2152 0.0000 0.6469
Ge 0.2848 0.5000 0.3531
Ge 0.7152 0.5000 0.6469
Ge 0.7848 0.0000 0.3531
H 0.1050 0.5000 0.1630
H 0.3950 0.0000 0.8370
H 0.6050 0.0000 0.1630
H 0.8950 0.5000 0.8370

***

2.
This entry pairs a crystal structure of Sb2O5 with its theoretical PXRD pattern. Radiation: a wavelength of 1.5418 Å. Structure: a DFT-relaxed cell (PBE, Alexandria).
Kinematic intensities with the Lorentz-polarization factor, no thermal factor.

Top 12 peaks for 2θ from 10° to 80°, most intense first:
d_spacing, 2θ/deg, Rel. int.
4.403, 20.2, 1000
2.711, 33.0, 466
2.771, 32.3, 377
2.419, 37.2, 182
1.834, 49.7, 179
1.798, 50.8, 158
1.766, 51.8, 153
4.834, 18.4, 143
7.811, 11.3, 141
2.596, 34.5, 135
2.209, 40.8, 115
2.503, 35.9, 111

Cell and atoms:
Unit cell a=8.3231 b=4.9822 c=10.0231 alpha=90.00 beta=110.20 gamma=90.00
Fractional coordinates of all 28 atoms:
Sb 0.1120 0.0112 0.1708
Sb 0.1120 0.4888 0.6708
Sb 0.3120 0.5191 0.4556
Sb 0.3120 0.9809 0.9556
Sb 0.6880 0.0191 0.0444
Sb 0.6880 0.4809 0.5444
Sb 0.8880 0.5112 0.3292
Sb 0.8880 0.9888 0.8292
O 0.0940 0.7026 0.4813
O 0.0940 0.7974 0.9813
O 0.0982 0.2018 0.8118
O 0.0982 0.2982 0.3118
O 0.2767 0.7311 0.7945
O 0.2767 0.7689 0.2945
O 0.2797 0.2032 0.1108
O 0.2797 0.2968 0.6108
O 0.4827 0.2166 0.9195
O 0.4827 0.2834 0.4195
O 0.5173 0.7166 0.5805
O 0.5173 0.7834 0.0805
O 0.7203 0.7032 0.3892
O 0.7203 0.7968 0.8892
O 0.7233 0.2311 0.7055
O 0.7233 0.2689 0.2055
O 0.9018 0.7018 0.6882
O 0.9018 0.7982 0.1882
O 0.9060 0.2026 0.0187
O 0.9060 0.2974 0.5187

***

3.
This entry pairs a crystal structure of Na2Mg3In5 with its theoretical PXRD pattern. Radiation: a wavelength of 1.5418 Å. Structure: a DFT-relaxed cell (PBE, Alexandria).
Kinematic intensities with the Lorentz-polarization factor, no thermal factor.

Top 12 peaks for 2θ from 10° to 80°, most intense first:
d_spacing, 2θ/deg, Rel. int.
2.869, 31.2, 1000
2.331, 38.6, 673
2.230, 40.5, 468
6.920, 12.8, 464
4.244, 20.9, 341
4.334, 20.5, 257
2.352, 38.3, 241
1.603, 57.5, 199
2.307, 39.0, 159
1.304, 72.5, 148
4.369, 20.3, 142
1.267, 74.9, 140

Cell and atoms:
Unit cell a=9.8848 b=9.8848 c=9.8848 alpha=100.54 beta=91.14 gamma=142.87
Fractional coordinates of all 20 atoms:
Na 0.2425 0.1288 0.3713
Na 0.2575 0.6288 0.8863
Na 0.7425 0.3712 0.1137
Na 0.7575 0.8712 0.6287
Mg 0.1453 0.3766 0.5218
Mg 0.2500 0.2500 0.0000
Mg 0.3547 0.8766 0.2313
Mg 0.6453 0.1234 0.7687
Mg 0.7500 0.7500 0.0000
Mg 0.8547 0.6234 0.4782
In 0.1500 0.8798 0.0298
In 0.2500 0.0037 0.7537
In 0.2500 0.4963 0.2463
In 0.2500 0.7500 0.5000
In 0.3500 0.3798 0.7298
In 0.6500 0.6202 0.2702
In 0.7500 0.2500 0.5000
In 0.7500 0.5037 0.7537
In 0.7500 0.9963 0.2463
In 0.8500 0.1202 0.9702

***

4.
This entry pairs a crystal structure of La4YRu with its theoretical PXRD pattern. Radiation: a wavelength of 1.5418 Å. Structure: a DFT-relaxed cell (PBE, Alexandria).
Kinematic intensities with the Lorentz-polarization factor, no thermal factor.

Top 12 peaks for 2θ from 10° to 80°, most intense first:
d_spacing, 2θ/deg, Rel. int.
2.805, 31.9, 1000
2.950, 30.3, 701
2.298, 39.2, 399
3.063, 29.2, 346
1.579, 58.5, 285
8.416, 10.5, 208
6.950, 12.7, 201
1.714, 53.4, 195
1.746, 52.4, 195
1.602, 57.5, 173
3.181, 28.1, 169
3.475, 25.6, 140

Cell and atoms:
Unit cell a=9.7342 b=9.7342 c=6.1267 alpha=108.33 beta=108.33 gamma=46.16
Fractional coordinates of all 12 atoms:
La 0.1399 0.6324 0.3860
La 0.2083 0.7917 0.0000
La 0.3266 0.3266 0.8269
La 0.3676 0.8601 0.6140
La 0.6324 0.1399 0.3860
La 0.6734 0.6734 0.1731
La 0.7917 0.2083 0.0000
La 0.8601 0.3676 0.6140
Y 0.1991 0.1991 0.1996
Y 0.8009 0.8009 0.8004
Ru 0.4999 0.4999 0.2534
Ru 0.5001 0.5001 0.7466

***

5.
This entry pairs a crystal structure of BiPb5S7 with its theoretical PXRD pattern. Radiation: a wavelength of 1.5418 Å. Structure: a DFT-relaxed cell (PBE, Alexandria).
Kinematic intensities with the Lorentz-polarization factor, no thermal factor.

Top 12 peaks for 2θ from 10° to 80°, most intense first:
d_spacing, 2θ/deg, Rel. int.
3.541, 25.1, 1000
2.865, 31.2, 580
3.517, 25.3, 427
2.967, 30.1, 419
2.026, 44.7, 376
3.494, 25.5, 361
2.083, 43.4, 322
3.290, 27.1, 312
1.759, 52.0, 296
2.240, 40.3, 272
2.156, 41.9, 260
1.433, 65.1, 161

Cell and atoms:
Unit cell a=4.0521 b=24.6475 c=7.2741 alpha=90.00 beta=106.11 gamma=90.00
Fractional coordinates of all 26 atoms:
Bi 0.2221 0.2500 0.4445
Bi 0.7779 0.7500 0.5555
Pb 0.0000 0.0000 0.0000
Pb 0.0000 0.5000 0.0000
Pb 0.2677 0.5771 0.5358
Pb 0.2677 0.9229 0.5358
Pb 0.4699 0.1530 0.9397
Pb 0.4699 0.3470 0.9397
Pb 0.5301 0.6530 0.0603
Pb 0.5301 0.8470 0.0603
Pb 0.7323 0.0771 0.4642
Pb 0.7323 0.4229 0.4642
S 0.0910 0.1084 0.1829
S 0.0910 0.3916 0.1829
S 0.1869 0.6812 0.3734
S 0.1869 0.8188 0.3734
S 0.3652 0.0385 0.7308
S 0.3652 0.4615 0.7308
S 0.4187 0.7500 0.8385
S 0.5813 0.2500 0.1615
S 0.6348 0.5385 0.2692
S 0.6348 0.9615 0.2692
S 0.8131 0.1812 0.6266
S 0.8131 0.3188 0.6266
S 0.9090 0.6084 0.8171
S 0.9090 0.8916 0.8171

***

6.
This entry pairs a crystal structure of LaYHg4 with its theoretical PXRD pattern. Radiation: a wavelength of 1.5418 Å. Structure: a DFT-relaxed cell (PBE, Alexandria).
Kinematic intensities with the Lorentz-polarization factor, no thermal factor.

Top 12 peaks for 2θ from 10° to 80°, most intense first:
d_spacing, 2θ/deg, Rel. int.
2.694, 33.3, 1000
2.652, 33.8, 282
1.539, 60.1, 192
2.257, 39.9, 175
3.127, 28.5, 147
2.006, 45.2, 127
1.600, 57.6, 126
2.494, 36.0, 119
1.329, 70.9, 109
1.255, 75.8, 98
1.500, 61.9, 97
1.817, 50.2, 92

Cell and atoms:
Unit cell a=5.3048 b=4.0130 c=14.9628 alpha=90.00 beta=90.00 gamma=90.00
Fractional coordinates of all 12 atoms:
La 0.0000 0.0000 0.0000
La 0.0000 0.5000 0.5000
Y 0.5000 0.0000 0.7895
Y 0.5000 0.5000 0.2895
Hg 0.0000 0.0000 0.3263
Hg 0.0000 0.0000 0.6697
Hg 0.0000 0.5000 0.1697
Hg 0.0000 0.5000 0.8263
Hg 0.5000 0.0000 0.1273
Hg 0.5000 0.0000 0.4540
Hg 0.5000 0.5000 0.6273
Hg 0.5000 0.5000 0.9540